The following is a computed powder XRD pattern of Na5Ga2Hg5. It was derived from DFT lattice parameters and positions (PBE), using Cu Kα.

Peak list (8 most intense, 2θ = 10–80°, in order of rising 2θ)
(hkl)	d_spacing	Rel. int.
1 1 1	4.014	276
1 1 -2	3.845	207
2 0 -3	3.481	356
1 1 -4	2.804	224
0 0 5	2.678	143
0 2 0	2.527	1000
0 2 5	1.839	194
6 0 -2	1.460	168

abc: 8.7615 5.0546 13.7125
angles: 90.00 102.47 90.00
Space group C2/m (No. 12)
Symmetry-distinct sites (fractional):
Na: 0.0000 0.0000 0.0000
Na: 0.1953 0.0000 0.5844
Na: 0.2238 0.5000 0.1715
Ga: 0.0702 0.5000 0.7100
Hg: 0.0000 0.5000 0.5000
Hg: 0.0983 0.0000 0.2938
Hg: 0.1429 0.5000 0.9291